Record 1
FeMoO4: calculated XRD peak list (λ = 1.5418 Å (Cu Kα)), based on a GGA+U-relaxed structure.
Peak positions follow from Bragg's law for the DFT cell and can differ from measured ones.

Atomic structure:
a = 7.1058 Å, b = 7.1058 Å, c = 7.2205 Å
α = 101.70°, β = 101.70°, γ = 84.70°
Atoms (fractional coordinates):
Fe (0.1827, 0.8173, 0.0000)
Fe (0.2045, 0.2045, 0.3613)
Fe (0.7955, 0.7955, 0.6387)
Fe (0.8173, 0.1827, 0.0000)
Mo (0.2513, 0.7487, 0.5000)
Mo (0.2699, 0.2699, 0.9055)
Mo (0.7301, 0.7301, 0.0945)
Mo (0.7487, 0.2513, 0.5000)
O (0.1090, 0.8034, 0.6927)
O (0.1392, 0.1392, 0.0386)
O (0.1966, 0.8910, 0.3073)
O (0.2023, 0.2023, 0.6498)
O (0.2136, 0.5194, 0.9700)
O (0.2182, 0.5043, 0.3922)
O (0.4806, 0.7864, 0.0300)
O (0.4957, 0.7818, 0.6078)
O (0.5043, 0.2182, 0.3922)
O (0.5194, 0.2136, 0.9700)
O (0.7818, 0.4957, 0.6078)
O (0.7864, 0.4806, 0.0300)
O (0.7977, 0.7977, 0.3502)
O (0.8034, 0.1090, 0.6927)
O (0.8608, 0.8608, 0.9614)
O (0.8910, 0.1966, 0.3073)

Most intense lines, 2θ = 10–90°, low angle first:
- 2θ 22.56, I 13
- 2θ 24.47, I 8
- 2θ 25.64, I 100
- 2θ 26.44, I 21
- 2θ 26.88, I 8
- 2θ 27.70, I 11
- 2θ 30.89, I 11
- 2θ 32.89, I 19
- 2θ 35.55, I 8
- 2θ 37.61, I 9
- 2θ 38.89, I 8
- 2θ 50.71, I 8


Record 2
Fe2Mo4O7: calculated XRD peak list (λ = 1.5418 Å (Cu Kα)), based on a GGA+U-relaxed structure.
Peak positions follow from Bragg's law for the DFT cell and can differ from measured ones.

Atomic structure:
a = 9.8814 Å, b = 9.8814 Å, c = 9.8814 Å
α = 144.47°, β = 143.11°, γ = 52.15°
Atoms (fractional coordinates):
Fe (0.0000, 0.0000, 0.5000)
Fe (0.0000, 0.5000, 0.0000)
Fe (0.4451, 0.1951, 0.2500)
Fe (0.5549, 0.8049, 0.7500)
Mo (0.1226, 0.6206, 0.5020)
Mo (0.2483, 0.2618, 0.5136)
Mo (0.2483, 0.7347, 0.9864)
Mo (0.3813, 0.3794, 0.0020)
Mo (0.6187, 0.6206, 0.9980)
Mo (0.7517, 0.2653, 0.0136)
Mo (0.7517, 0.7382, 0.4864)
Mo (0.8774, 0.3794, 0.4980)
O (0.0000, 0.0000, 0.0000)
O (0.1314, 0.1421, 0.5106)
O (0.1314, 0.6208, 0.9894)
O (0.2202, 0.7374, 0.4828)
O (0.2454, 0.2626, 0.9828)
O (0.3680, 0.3704, 0.5024)
O (0.3680, 0.8656, 0.9976)
O (0.5000, 0.0000, 0.5000)
O (0.6320, 0.1344, 0.0024)
O (0.6320, 0.6296, 0.4976)
O (0.7546, 0.7374, 0.0172)
O (0.7798, 0.2626, 0.5172)
O (0.8686, 0.3792, 0.0106)
O (0.8686, 0.8579, 0.4894)

Most intense lines, 2θ = 10–90°, low angle first:
- 2θ 15.52, I 79
- 2θ 29.19, I 45
- 2θ 31.34, I 33
- 2θ 32.66, I 27
- 2θ 35.11, I 79
- 2θ 35.73, I 59
- 2θ 36.01, I 63
- 2θ 40.66, I 52
- 2θ 41.62, I 100
- 2θ 42.89, I 31
- 2θ 59.10, I 26
- 2θ 59.59, I 90


Record 3
Fe2Mo4O7: calculated XRD peak list (λ = 1.5418 Å (Cu Kα)), based on a GGA+U-relaxed structure.
Peak positions follow from Bragg's law for the DFT cell and can differ from measured ones.

Atomic structure:
a = 9.6284 Å, b = 9.6284 Å, c = 6.2474 Å
α = 108.71°, β = 108.71°, γ = 38.64°
Atoms (fractional coordinates):
Fe (0.0000, 0.0000, 0.0000)
Fe (0.0007, 0.0007, 0.5062)
Fe (0.4448, 0.4448, 0.1988)
Fe (0.5532, 0.5532, 0.8069)
Mo (0.1197, 0.6186, 0.6234)
Mo (0.2487, 0.2487, 0.7777)
Mo (0.2500, 0.2500, 0.2601)
Mo (0.3836, 0.8798, 0.3875)
Mo (0.6186, 0.1197, 0.6234)
Mo (0.7506, 0.7506, 0.2615)
Mo (0.7511, 0.7511, 0.7876)
Mo (0.8798, 0.3836, 0.3875)
O (0.0072, 0.4986, 0.0257)
O (0.1269, 0.1269, 0.1587)
O (0.1295, 0.1295, 0.6093)
O (0.2229, 0.7605, 0.7432)
O (0.2458, 0.7659, 0.2558)
O (0.3746, 0.3746, 0.8776)
O (0.3767, 0.3767, 0.3844)
O (0.4986, 0.0072, 0.0257)
O (0.6260, 0.6260, 0.1450)
O (0.6281, 0.6281, 0.6170)
O (0.7605, 0.2229, 0.7432)
O (0.7659, 0.2458, 0.2558)
O (0.8722, 0.8722, 0.8513)
O (0.8741, 0.8741, 0.4050)

Most intense lines, 2θ = 10–90°, low angle first:
- 2θ 10.35, I 43
- 2θ 15.10, I 49
- 2θ 29.73, I 35
- 2θ 29.87, I 38
- 2θ 31.97, I 39
- 2θ 35.14, I 72
- 2θ 35.34, I 36
- 2θ 35.68, I 34
- 2θ 40.44, I 100
- 2θ 42.31, I 44
- 2θ 59.86, I 41
- 2θ 60.06, I 40